The following is a calculated powder diffraction line list of Cs2Ga3PbF12. It was derived from DFT lattice parameters and positions (GGA-PBE), using Cu Kα (weighted mean of Kα1 and Kα2).

Main lines, sorted by position (2θ from 10° to 90°):
index, 2θ (°), I (rel.)
1 0 1, 14.15, 12
1 1 0, 23.21, 27
0 1 5, 27.27, 100
2 0 2, 28.52, 32
2 0 5, 36.09, 14
0 0 9, 43.36, 36
2 2 0, 47.43, 37
3 1 5, 55.57, 13
0 2 10, 56.26, 17
2 3 5, 66.23, 15

Lattice parameters (Å, degrees): 7.6627 7.6627 18.8087 90.00 90.00 120.00
Space group R-3m (No. 166, hexagonal axes)
One atom of each set of equivalent atoms:
1 Cs 0.0000 0.0000 0.1157 (multiplicity 6)
2 Ga 0.0000 0.5000 0.0000 (multiplicity 9)
3 Pb 0.0000 0.0000 0.5000 (multiplicity 3)
4 F 0.0021 0.5010 0.8965 (multiplicity 18)
5 F 0.0808 0.5404 0.3313 (multiplicity 18)

The following is a calculated powder diffraction line list of CoTcMo. It was derived from DFT lattice parameters and positions (GGA-PBE), using Cu Kα (weighted mean of Kα1 and Kα2).

Main lines, sorted by position (2θ from 10° to 90°):
index, 2θ (°), I (rel.)
1 0 2, 38.10, 100
1 1 1, 38.46, 18
2 0 0, 40.37, 86
0 2 1, 43.66, 41
1 1 2, 48.10, 32
1 2 1, 56.98, 12
1 2 2, 64.55, 25
0 1 4, 70.96, 15
3 0 2, 71.90, 15
2 1 3, 76.25, 11

Lattice parameters (Å, degrees): 5.1597 5.1597 5.5641 90.00 90.00 120.00
Space group P3_221 (No. 154)
One atom of each set of equivalent atoms:
1 Co 0.0000 0.1229 0.3333 (multiplicity 3)
2 Tc 0.0000 0.5656 0.3333 (multiplicity 3)
3 Mo 0.0000 0.4655 0.8333 (multiplicity 3)